Diffraction record for Sm2O3. The XRD peak list is simulated, not measured: it uses a structure optimized by DFT (GGA-PBE) and a wavelength of 1.5418 Å.
Lines closer than 0.1° are merged.

Largest 9 diffraction maxima, by intensity, 10° ≤ 2θ ≤ 80°:
- hkl 1 1 1, d 3.151, rel. 100
- hkl 2 2 0, d 1.929, rel. 49
- hkl 3 1 1, d 1.645, rel. 45
- hkl 2 0 0, d 2.729, rel. 35
- hkl 3 3 1, d 1.252, rel. 18
- hkl 4 2 0, d 1.220, rel. 13
- hkl 2 2 2, d 1.575, rel. 10
- hkl 4 0 0, d 1.364, rel. 8
- hkl 1 1 0, d 3.859, rel. 1

Crystal structure
```
Sm2O3
1.0
5.4570 0.0000 0.0000
0.0000 5.4570 0.0000
0.0000 0.0000 5.4570
Sm O
4 6
Cartesian
0.0000 0.0000 0.0000
0.0000 2.7285 2.7285
2.7285 0.0000 2.7285
2.7285 2.7285 0.0000
1.3643 1.3643 4.0928
1.3643 4.0928 1.3643
1.3643 4.0928 4.0928
4.0928 1.3643 1.3643
4.0928 1.3643 4.0928
4.0928 4.0928 1.3643
```